No. 1
This entry pairs a crystal structure of Ir with its calculated powder diffraction line list. Radiation: a wavelength of 1.5418 Å. Structure: the PBE geometry in OQMD.
Peak positions follow from Bragg's law for the DFT cell and can differ from measured ones.

Most intense lines, 2θ = 10–80°, low angle first:
2theta, I_rel, index
12.88, 4, 0 0 6
38.44, 5, 1 0 9
39.65, 55, 1 0 10
40.95, 100, 1 0 11
46.24, 18, 0 0 21
47.19, 49, 1 1 0
48.58, 8, 0 0 22
68.20, 22, 1 1 21
68.94, 16, 2 0 0
70.05, 11, 1 1 22

Structure:
```
data_Ir
_chemical_formula_sum 'Ir16'
_space_group_name_H-M_alt 'P 4/n m m'
_space_group_IT_number 129
_cell_length_a 2.7243
_cell_length_b 2.7243
_cell_length_c 41.2309
_cell_angle_alpha 90.00
_cell_angle_beta 90.00
_cell_angle_gamma 90.00
loop_
_space_group_symop_operation_xyz
'x,y,z'
'-x,-y,-z'
'-y+1/2,x,z'
'y+1/2,-x,-z'
'-x+1/2,-y+1/2,z'
'x+1/2,y+1/2,-z'
'y,-x+1/2,z'
'-y,x+1/2,-z'
'x+1/2,-y,-z'
'-x+1/2,y,z'
'-y,-x,-z'
'y,x,z'
'-x,y+1/2,-z'
'x,-y+1/2,z'
'y+1/2,x+1/2,-z'
'-y+1/2,-x+1/2,z'
loop_
_atom_site_label
_atom_site_fract_x
_atom_site_fract_y
_atom_site_fract_z
Ir1 0.2500 0.2500 0.0234
Ir2 0.2500 0.2500 0.1172
Ir3 0.2500 0.2500 0.2110
Ir4 0.2500 0.2500 0.3056
Ir5 0.2500 0.2500 0.6497
Ir6 0.2500 0.2500 0.7418
Ir7 0.2500 0.2500 0.8359
Ir8 0.2500 0.2500 0.9298
```

No. 2
This entry pairs a crystal structure of Nb2TcGe with its calculated powder diffraction line list. Radiation: a wavelength of 1.5418 Å. Structure: the PBE geometry in OQMD.
Peak positions follow from Bragg's law for the DFT cell and can differ from measured ones.

Most intense lines, 2θ = 10–80°, low angle first:
2theta, I_rel, index
24.15, 1, 1 1 1
27.96, 1, 2 0 0
39.95, 100, 2 2 0
57.78, 17, 4 0 0
72.55, 33, 4 2 2

Structure:
```
data_Nb2TcGe
_chemical_formula_sum 'Nb8 Tc4 Ge4'
_space_group_name_H-M_alt 'F -4 3 m'
_space_group_IT_number 216
_space_group_name_Hall 'F -4 2 3'
_cell_length_a 6.3829
_cell_length_b 6.3829
_cell_length_c 6.3829
_cell_angle_alpha 90.00
_cell_angle_beta 90.00
_cell_angle_gamma 90.00
loop_
_atom_site_label
_atom_site_fract_x
_atom_site_fract_y
_atom_site_fract_z
Nb1 0.0000 0.0000 0.0000
Nb2 0.2500 0.2500 0.2500
Tc1 0.2500 0.2500 0.7500
Ge1 0.0000 0.0000 0.5000
```

No. 3
This entry pairs a crystal structure of GdErNi8B2 with its calculated powder diffraction line list. Radiation: a wavelength of 1.5418 Å. Structure: the PBE geometry in OQMD.
Peak positions follow from Bragg's law for the DFT cell and can differ from measured ones.

Most intense lines, 2θ = 10–80°, low angle first:
2theta, I_rel, index
20.58, 14, 1 0 0
33.07, 90, 1 0 2
36.04, 31, 1 1 0
41.86, 74, 2 0 0
44.73, 100, 1 1 2
62.92, 28, 2 1 2
65.44, 16, 1 1 4
69.40, 15, 2 0 4
70.88, 24, 3 0 2
76.44, 21, 2 2 0

Structure:
```
data_GdErNi8B2
_chemical_formula_sum 'Gd1 Er1 Ni8 B2'
_space_group_name_H-M_alt 'P 6/m m m'
_space_group_IT_number 191
_space_group_name_Hall '-P 6 2'
_cell_length_a 4.9843
_cell_length_b 4.9843
_cell_length_c 6.9572
_cell_angle_alpha 90.00
_cell_angle_beta 90.00
_cell_angle_gamma 120.00
loop_
_atom_site_label
_atom_site_fract_x
_atom_site_fract_y
_atom_site_fract_z
Gd1 0.0000 0.0000 0.0000
Er1 0.0000 0.0000 0.5000
Ni1 0.0000 0.5000 0.2931
Ni2 0.3333 0.6667 0.0000
B1 0.3333 0.6667 0.5000
```

No. 4
This entry pairs a crystal structure of CdSnSbAs with its calculated powder diffraction line list. Radiation: a wavelength of 1.5418 Å. Structure: the PBE geometry in OQMD.
Peak positions follow from Bragg's law for the DFT cell and can differ from measured ones.

Most intense lines, 2θ = 10–80°, low angle first:
2theta, I_rel, index
24.23, 100, 1 1 2
39.81, 27, 2 2 0
40.16, 26, 0 2 4
40.27, 25, 2 0 4
47.06, 17, 1 3 2
47.25, 16, 3 1 2
47.86, 15, 1 1 6
72.44, 9, 2 4 4
72.66, 9, 4 2 4
73.36, 8, 2 2 8

Structure:
```
data_CdSnSbAs
_chemical_formula_sum 'Cd4 Sn4 Sb4 As4'
_space_group_name_H-M_alt 'I 21 21 21'
_space_group_IT_number 24
_cell_length_a 6.3874
_cell_length_b 6.4204
_cell_length_c 12.5651
_cell_angle_alpha 90.00
_cell_angle_beta 90.00
_cell_angle_gamma 90.00
loop_
_space_group_symop_operation_xyz
'x,y,z'
'-x,-y+1/2,z'
'x,-y,-z+1/2'
'-x,y+1/2,-z+1/2'
'x+1/2,y+1/2,z+1/2'
'-x+1/2,-y,z+1/2'
'x+1/2,-y+1/2,-z'
'-x+1/2,y,-z'
loop_
_atom_site_label
_atom_site_fract_x
_atom_site_fract_y
_atom_site_fract_z
Cd1 0.0000 0.2500 0.1125
Sn1 0.0000 0.2500 0.6189
Sb1 0.2410 0.5000 0.2500
As1 0.2500 0.0068 0.5000
```

No. 5
This entry pairs a crystal structure of CoNiSb2 with its calculated powder diffraction line list. Radiation: a wavelength of 1.5418 Å. Structure: the PBE geometry in OQMD.
Peak positions follow from Bragg's law for the DFT cell and can differ from measured ones.

Most intense lines, 2θ = 10–80°, low angle first:
2theta, I_rel, index
24.41, 8, 0 0 2
31.08, 34, 1 0 0
33.47, 22, 1 0 1
39.90, 100, 1 0 2
49.05, 7, 1 0 3
50.02, 12, 0 0 4
55.29, 27, 1 1 0
60.06, 10, 1 0 4
70.33, 18, 2 0 2
77.76, 19, 1 1 4

Structure:
```
data_CoNiSb2
_chemical_formula_sum 'Co1 Ni1 Sb2'
_space_group_name_H-M_alt 'P -6 m 2'
_space_group_IT_number 187
_space_group_name_Hall 'P -6 2'
_cell_length_a 3.3231
_cell_length_b 3.3231
_cell_length_c 7.2944
_cell_angle_alpha 90.00
_cell_angle_beta 90.00
_cell_angle_gamma 120.00
loop_
_atom_site_label
_atom_site_fract_x
_atom_site_fract_y
_atom_site_fract_z
Co1 0.0000 0.0000 0.0000
Ni1 0.3333 0.6667 0.5000
Sb1 0.6667 0.3333 0.2449
```

No. 6
This entry pairs a crystal structure of Na2ScOsO6 with its calculated powder diffraction line list. Radiation: a wavelength of 1.5418 Å. Structure: the PBE geometry in OQMD.
Peak positions follow from Bragg's law for the DFT cell and can differ from measured ones.

Most intense lines, 2θ = 10–80°, low angle first:
2theta, I_rel, index
19.78, 100, 1 0 1
22.51, 41, 0 0 2
23.07, 72, 1 1 0
32.45, 79, 1 1 2
32.85, 46, 2 0 0
38.65, 36, 2 1 1
45.94, 18, 0 0 4
47.15, 28, 2 2 0
57.63, 18, 2 0 4
58.40, 36, 3 1 2

Structure:
```
data_Na2ScOsO6
_chemical_formula_sum 'Na4 Sc2 Os2 O12'
_space_group_name_H-M_alt 'I 4/m'
_space_group_IT_number 87
_space_group_name_Hall '-I 4'
_cell_length_a 5.4522
_cell_length_b 5.4522
_cell_length_c 7.9013
_cell_angle_alpha 90.00
_cell_angle_beta 90.00
_cell_angle_gamma 90.00
loop_
_atom_site_label
_atom_site_fract_x
_atom_site_fract_y
_atom_site_fract_z
Na1 0.0000 0.5000 0.2500
Sc1 0.0000 0.0000 0.0000
Os1 0.0000 0.0000 0.5000
O1 0.0000 0.0000 0.2611
O2 0.1820 0.7058 0.5000
```

No. 7
This entry pairs a crystal structure of YScAl2Zn2 with its calculated powder diffraction line list. Radiation: a wavelength of 1.5418 Å. Structure: the PBE geometry in OQMD.
Peak positions follow from Bragg's law for the DFT cell and can differ from measured ones.

Most intense lines, 2θ = 10–80°, low angle first:
2theta, I_rel, index
24.45, 76, 0 1 2
40.45, 100, 4 0 -2
40.51, 20, 0 2 0
47.83, 27, 4 1 0
47.89, 9, 2 2 -3
58.56, 19, 4 2 -2
64.46, 9, 0 3 2
73.44, 9, 6 1 1
73.64, 28, 2 3 -5
78.93, 5, 4 3 -4

Structure:
```
data_YScAl2Zn2
_chemical_formula_sum 'Y4 Sc4 Al8 Zn8'
_space_group_name_H-M_alt 'P 1 m 1'
_space_group_IT_number 6
_cell_length_a 8.9290
_cell_length_b 4.4535
_cell_length_c 13.3658
_cell_angle_alpha 90.00
_cell_angle_beta 109.36
_cell_angle_gamma 90.00
loop_
_space_group_symop_operation_xyz
'x,y,z'
'x,-y,z'
loop_
_atom_site_label
_atom_site_fract_x
_atom_site_fract_y
_atom_site_fract_z
Y1 0.0000 0.0000 0.0000
Y2 0.1238 0.5000 0.7471
Y3 0.2492 0.0000 0.4981
Y4 0.5036 0.0000 0.0019
Sc1 0.3764 0.5000 0.2516
Sc2 0.6280 0.5000 0.7497
Sc3 0.7507 0.0000 0.4991
Sc4 0.8767 0.5000 0.2500
Al1 0.1270 0.0000 0.2515
Al2 0.2538 0.5000 0.0049
Al3 0.3822 0.0000 0.7495
Al4 0.5055 0.5000 0.4972
Al5 0.6281 0.0000 0.2532
Al6 0.7518 0.5000 0.0003
Al7 0.8674 0.0000 0.7444
Al8 0.9918 0.5000 0.4956
Zn1 0.0679 0.5000 0.1325
Zn2 0.1897 0.0000 0.8752
Zn3 0.3243 0.5000 0.6271
Zn4 0.4442 0.0000 0.3723
Zn5 0.5681 0.5000 0.1335
Zn6 0.6859 0.0000 0.8687
Zn7 0.8043 0.5000 0.6198
Zn8 0.9301 0.0000 0.3715
```

No. 8
This entry pairs a crystal structure of LiScPdPb with its calculated powder diffraction line list. Radiation: a wavelength of 1.5418 Å. Structure: the PBE geometry in OQMD.
Peak positions follow from Bragg's law for the DFT cell and can differ from measured ones.

Most intense lines, 2θ = 10–80°, low angle first:
2theta, I_rel, index
23.24, 65, 1 0 1
26.89, 18, 1 1 0
38.40, 100, 2 0 0
45.37, 35, 2 1 1
47.50, 5, 2 0 2
55.43, 17, 2 2 0
60.90, 15, 3 0 1
62.66, 7, 3 1 0
69.45, 35, 3 1 2
74.34, 12, 3 2 1

Structure:
```
data_LiScPdPb
_chemical_formula_sum 'Li2 Sc2 Pd2 Pb2'
_space_group_name_H-M_alt 'P -4 m 2'
_space_group_IT_number 115
_cell_length_a 4.6890
_cell_length_b 4.6890
_cell_length_c 6.6286
_cell_angle_alpha 90.00
_cell_angle_beta 90.00
_cell_angle_gamma 90.00
loop_
_space_group_symop_operation_xyz
'x,y,z'
'y,-x,-z'
'-x,-y,z'
'-y,x,-z'
'-x,y,z'
'-y,-x,-z'
'x,-y,z'
'y,x,-z'
loop_
_atom_site_label
_atom_site_fract_x
_atom_site_fract_y
_atom_site_fract_z
Li1 0.0000 0.5000 0.2490
Sc1 0.0000 0.0000 0.0000
Sc2 0.5000 0.5000 0.5000
Pd1 0.0000 0.5000 0.7501
Pb1 0.0000 0.0000 0.5000
Pb2 0.5000 0.5000 0.0000
```

No. 9
This entry pairs a crystal structure of LiReAg3Te4 with its calculated powder diffraction line list. Radiation: a wavelength of 1.5418 Å. Structure: the PBE geometry in OQMD.
Peak positions follow from Bragg's law for the DFT cell and can differ from measured ones.

Most intense lines, 2θ = 10–80°, low angle first:
2theta, I_rel, index
13.72, 65, 1 0 0
23.87, 66, 1 1 1
30.97, 26, 2 1 0
39.48, 100, 2 2 0
41.98, 18, 2 2 1
46.66, 31, 3 1 1
51.00, 13, 3 2 0
57.06, 17, 4 0 0
62.73, 12, 3 3 1
71.60, 33, 4 2 2

Structure:
```
data_LiReAg3Te4
_chemical_formula_sum 'Li1 Re1 Ag3 Te4'
_space_group_name_H-M_alt 'P -4 3 m'
_space_group_IT_number 215
_space_group_name_Hall 'P -4 2 3'
_cell_length_a 6.4560
_cell_length_b 6.4560
_cell_length_c 6.4560
_cell_angle_alpha 90.00
_cell_angle_beta 90.00
_cell_angle_gamma 90.00
loop_
_atom_site_label
_atom_site_fract_x
_atom_site_fract_y
_atom_site_fract_z
Li1 0.0000 0.0000 0.0000
Re1 0.5000 0.5000 0.5000
Ag1 0.0000 0.5000 0.5000
Te1 0.2586 0.2586 0.2586
```

No. 10
This entry pairs a crystal structure of TbPr2Cu4Sn4 with its calculated powder diffraction line list. Radiation: a wavelength of 1.5418 Å. Structure: the PBE geometry in OQMD.
Peak positions follow from Bragg's law for the DFT cell and can differ from measured ones.

Most intense lines, 2θ = 10–80°, low angle first:
2theta, I_rel, index
32.60, 29, 0 1 5
33.01, 100, 1 2 1
33.55, 95, 1 1 4
36.01, 20, 0 0 6
39.41, 45, 2 0 0
43.21, 21, 0 3 3
44.67, 26, 1 2 5
59.91, 16, 2 3 3
67.72, 19, 3 1 4
76.25, 16, 1 5 4

Structure:
```
data_TbPr2Cu4Sn4
_chemical_formula_sum 'Tb2 Pr4 Cu8 Sn8'
_space_group_name_H-M_alt 'I m m m'
_space_group_IT_number 71
_space_group_name_Hall '-I 2 2'
_cell_length_a 4.5726
_cell_length_b 6.9198
_cell_length_c 14.9640
_cell_angle_alpha 90.00
_cell_angle_beta 90.00
_cell_angle_gamma 90.00
loop_
_atom_site_label
_atom_site_fract_x
_atom_site_fract_y
_atom_site_fract_z
Tb1 0.0000 0.0000 0.0000
Pr1 0.0000 0.5000 0.1323
Cu1 0.0000 0.3145 0.3305
Sn1 0.0000 0.0000 0.2142
Sn2 0.0000 0.2065 0.5000
```

No. 11
This entry pairs a crystal structure of Tb3AgO6 with its calculated powder diffraction line list. Radiation: a wavelength of 1.5418 Å. Structure: the PBE geometry in OQMD.
Peak positions follow from Bragg's law for the DFT cell and can differ from measured ones.

Most intense lines, 2θ = 10–80°, low angle first:
2theta, I_rel, index
29.86, 83, 1 -1 0
30.50, 58, 1 1 0
30.61, 86, 0 1 -2
30.74, 21, 1 1 -1
30.88, 80, 0 1 2
32.20, 100, 0 2 0
40.93, 25, 1 0 2
45.93, 36, -1 2 2
46.43, 24, 1 2 -2
56.81, 54, -1 1 4

Structure:
```
data_Tb3AgO6
_chemical_formula_sum 'Tb3 Ag1 O6'
_space_group_name_H-M_alt 'P -1'
_space_group_IT_number 2
_cell_length_a 3.5948
_cell_length_b 5.5589
_cell_length_c 7.0116
_cell_angle_alpha 90.26
_cell_angle_beta 103.18
_cell_angle_gamma 91.21
loop_
_space_group_symop_operation_xyz
'x,y,z'
'-x,-y,-z'
loop_
_atom_site_label
_atom_site_fract_x
_atom_site_fract_y
_atom_site_fract_z
Tb1 0.0000 0.0000 0.0000
Tb2 0.3835 0.4690 0.7344
Ag1 0.0000 0.0000 0.5000
O1 0.1356 0.7966 0.2885
O2 0.1677 0.3130 0.3896
O3 0.4788 0.7439 0.9737
```

No. 12
This entry pairs a crystal structure of K2ZrSi2O7 with its calculated powder diffraction line list. Radiation: a wavelength of 1.5418 Å. Structure: the PBE geometry in OQMD.
Peak positions follow from Bragg's law for the DFT cell and can differ from measured ones.

Most intense lines, 2θ = 10–80°, low angle first:
2theta, I_rel, index
14.11, 31, 0 0 2
20.69, 51, 1 1 -2
20.89, 28, 2 0 0
26.51, 61, 1 1 2
30.08, 100, 1 1 -4
30.32, 50, 2 0 2
32.11, 55, 0 2 0
32.35, 86, 3 1 -2
42.09, 38, 2 2 -4
44.75, 29, 4 0 -6

Structure:
```
data_K2ZrSi2O7
_chemical_formula_sum 'K8 Zr4 Si8 O28'
_space_group_name_H-M_alt 'P 1 21/c 1'
_space_group_IT_number 14
_cell_length_a 9.5657
_cell_length_b 5.5745
_cell_length_c 14.1170
_cell_angle_alpha 90.00
_cell_angle_beta 117.26
_cell_angle_gamma 90.00
loop_
_space_group_symop_operation_xyz
'x,y,z'
'-x,-y,-z'
'-x,y+1/2,-z+1/2'
'x,-y+1/2,z+1/2'
loop_
_atom_site_label
_atom_site_fract_x
_atom_site_fract_y
_atom_site_fract_z
K1 0.0213 0.2450 0.4036
K2 0.4610 0.2441 0.5702
Zr1 0.2671 0.2400 0.7732
Si1 0.1662 0.7498 0.3876
Si2 0.3209 0.7309 0.6289
O1 0.0216 0.2459 0.6923
O2 0.1749 0.7110 0.0075
O3 0.2498 0.0046 0.8882
O4 0.2566 0.5233 0.8681
O5 0.2863 0.0367 0.1604
O6 0.2984 0.5652 0.2027
O7 0.4869 0.7497 0.1244
```